(1)
Theoretical PXRD pattern
Compound: Ho2CoO5
Radiation: Cu Kα (λ = 1.5418 Å)
Structure: DFT lattice parameters and positions (GGA+U)
Neutral-atom scattering factors, no anomalous dispersion.

Crystal structure
a b c (Å): 10.256 3.686 11.163
angles (deg): 90.00 90.00 90.00
Fractional coordinates of all 32 atoms:
Ho1 0.107 0.250 0.223
Ho2 0.138 0.250 0.556
Ho3 0.362 0.750 0.056
Ho4 0.393 0.750 0.723
Ho5 0.607 0.250 0.277
Ho6 0.638 0.250 0.944
Ho7 0.862 0.750 0.444
Ho8 0.893 0.750 0.777
Co1 0.181 0.250 0.878
Co2 0.319 0.750 0.378
Co3 0.681 0.250 0.622
Co4 0.819 0.750 0.122
O1 0.010 0.750 0.604
O2 0.015 0.250 0.838
O3 0.220 0.250 0.040
O4 0.238 0.750 0.228
O5 0.241 0.750 0.881
O6 0.259 0.250 0.381
O7 0.262 0.250 0.728
O8 0.280 0.750 0.540
O9 0.485 0.750 0.338
O10 0.490 0.250 0.104
O11 0.510 0.750 0.896
O12 0.515 0.250 0.662
O13 0.720 0.250 0.460
O14 0.738 0.750 0.272
O15 0.741 0.750 0.619
O16 0.759 0.250 0.119
O17 0.762 0.250 0.772
O18 0.780 0.750 0.960
O19 0.985 0.750 0.162
O20 0.990 0.250 0.396

The 10 most intense peaks (15 to 90 degrees two-theta), in order of rising 2θ:
Position (°2θ)  intensity
25.5  26
29.7  74
29.9  100
34.2  39
35.0  13
35.4  14
49.5  19
49.8  49
56.1  14
58.7  21

=====

(2)
Theoretical PXRD pattern
Compound: HoZnCo2O6
Radiation: Cu Kα (λ = 1.5418 Å)
Structure: DFT lattice parameters and positions (GGA+U)
Neutral-atom scattering factors, no anomalous dispersion.

Crystal structure
a b c (Å): 5.146 5.319 9.087
angles (deg): 90.00 124.41 90.00
Fractional coordinates of all 20 atoms:
Ho1 0.000 0.184 0.000
Ho2 0.000 0.816 0.500
Zn1 0.542 0.293 0.511
Zn2 0.542 0.707 0.011
Co1 0.270 0.253 0.753
Co2 0.270 0.747 0.253
Co3 0.773 0.270 0.254
Co4 0.773 0.730 0.754
O1 0.154 0.217 0.510
O2 0.154 0.783 0.010
O3 0.405 0.306 0.990
O4 0.405 0.694 0.490
O5 0.511 0.057 0.314
O6 0.511 0.943 0.814
O7 0.619 0.447 0.801
O8 0.619 0.553 0.301
O9 0.909 0.049 0.699
O10 0.909 0.951 0.199
O11 0.998 0.473 0.179
O12 0.998 0.527 0.679

The 10 most intense peaks (15 to 90 degrees two-theta), in order of rising 2θ:
Position (°2θ)  intensity
20.9  14
26.9  13
33.7  19
34.1  100
34.9  23
48.6  14
49.3  19
56.2  12
60.5  18
62.0  22